Calculated powder diffraction line list
Compound: Rb2NbPb2
Radiation: Cu Kα X-rays
Structure: a structure optimized by DFT (GGA-PBE)
Peak positions follow from Bragg's law for the DFT cell and can differ from measured ones.

Structural model:
Unit cell a=7.8902 b=7.8902 c=6.4868 alpha=90.00 beta=90.00 gamma=90.00
Space group P4/mbm (No. 127)
Unique sites:
Rb: 0.1600 0.3400 0.0000 [4 per cell]
Nb: 0.0000 0.0000 0.5000 [2 per cell]
Pb: 0.1982 0.6982 0.5000 [4 per cell]

Peak list (6 most intense, 10° ≤ 2θ ≤ 80°, by angle)
Position (°2θ), I/Imax, (hkl)
13.65, 56, 0 0 1
22.54, 30, 2 0 0
27.50, 48, 0 0 2
28.80, 100, 2 1 1
35.01, 23, 2 2 1
49.67, 40, 4 1 1

Calculated powder diffraction line list
Compound: Pm2Dy2ZnGa4
Radiation: Cu Kα X-rays
Structure: a structure optimized by DFT (GGA-PBE)
Peak positions follow from Bragg's law for the DFT cell and can differ from measured ones.

Structural model:
Unit cell a=7.0296 b=7.0296 c=8.8063 alpha=90.00 beta=90.00 gamma=90.00
Space group I4/mmm (No. 139)
Unique sites:
Pm: 0.0000 0.0000 0.1883 [4 per cell]
Dy: 0.0000 0.5000 0.2500 [4 per cell]
Zn: 0.0000 0.0000 0.5000 [2 per cell]
Ga: 0.2421 0.2421 0.5000 [8 per cell]

Peak list (6 most intense, 10° ≤ 2θ ≤ 80°, by angle)
Position (°2θ), I/Imax, (hkl)
25.34, 26, 2 0 0
32.60, 100, 2 0 2
33.07, 22, 1 0 3
36.14, 64, 2 2 0
52.04, 22, 4 0 0
62.77, 30, 4 2 2

Calculated powder diffraction line list
Compound: Th4Pb
Radiation: Cu Kα X-rays
Structure: a structure optimized by DFT (GGA-PBE)
Peak positions follow from Bragg's law for the DFT cell and can differ from measured ones.

Structural model:
Unit cell a=5.9149 b=5.9149 c=5.9149 alpha=90.00 beta=90.00 gamma=90.00
Space group Pm-3m (No. 221)
Unique sites:
Th: 0.0000 0.0000 0.0000 [1 per cell]
Th: 0.0000 0.5000 0.5000 [3 per cell]
Pb: 0.5000 0.5000 0.5000 [1 per cell]

Peak list (6 most intense, 10° ≤ 2θ ≤ 80°, by angle)
Position (°2θ), I/Imax, (hkl)
26.09, 76, 1 1 1
30.22, 100, 2 0 0
43.26, 77, 2 2 0
51.22, 37, 3 1 1
53.68, 28, 2 2 2
71.31, 36, 4 2 0

Calculated powder diffraction line list
Compound: Ca4CoTe2
Radiation: Cu Kα X-rays
Structure: a structure optimized by DFT (GGA-PBE)
Peak positions follow from Bragg's law for the DFT cell and can differ from measured ones.

Structural model:
Unit cell a=5.0537 b=5.0537 c=16.4910 alpha=90.00 beta=90.00 gamma=90.00
Space group I4/mmm (No. 139)
Unique sites:
Ca: 0.0000 0.0000 0.1673 [4 per cell]
Ca: 0.0000 0.5000 0.0000 [4 per cell]
Co: 0.0000 0.0000 0.0000 [2 per cell]
Te: 0.0000 0.0000 0.3581 [4 per cell]

Peak list (6 most intense, 10° ≤ 2θ ≤ 80°, by angle)
Position (°2θ), I/Imax, (hkl)
23.92, 89, 1 0 3
24.92, 100, 1 1 0
33.18, 82, 1 1 4
35.53, 94, 2 0 0
43.28, 38, 2 1 3
48.97, 45, 2 0 6

Calculated powder diffraction line list
Compound: SrLiIn4
Radiation: Cu Kα X-rays
Structure: a structure optimized by DFT (GGA-PBE)
Peak positions follow from Bragg's law for the DFT cell and can differ from measured ones.

Structural model:
Unit cell a=10.1374 b=7.8307 c=4.7401 alpha=90.00 beta=117.79 gamma=90.00
Space group C2/m (No. 12)
Unique sites:
Sr: 0.0000 0.0000 0.0000 [2 per cell]
Li: 0.0000 0.5000 0.0000 [2 per cell]
In: 0.1623 0.3040 0.6622 [8 per cell]

Peak list (6 most intense, 10° ≤ 2θ ≤ 80°, by angle)
Position (°2θ), I/Imax, (hkl)
21.92, 63, 1 1 -1
22.71, 37, 0 2 0
30.31, 33, 2 2 0
31.26, 73, 0 2 1
35.50, 100, 2 0 1
37.96, 42, 2 0 -2

Calculated powder diffraction line list
Compound: Nd3CoC2N6
Radiation: Cu Kα X-rays
Structure: a structure optimized by DFT (GGA-PBE)
Peak positions follow from Bragg's law for the DFT cell and can differ from measured ones.

Structural model:
Unit cell a=5.3297 b=5.3297 c=6.3414 alpha=90.00 beta=90.00 gamma=120.00
Space group P-3m1 (No. 164)
Unique sites:
Nd: 0.0000 0.0000 0.0000 [1 per cell]
Nd: 0.3333 0.6667 0.6622 [2 per cell]
Co: 0.0000 0.0000 0.5000 [1 per cell]
C: 0.3333 0.6667 0.2630 [2 per cell]
N: 0.1852 0.3704 0.2740 [6 per cell]

Peak list (6 most intense, 10° ≤ 2θ ≤ 80°, by angle)
Position (°2θ), I/Imax, (hkl)
23.84, 99, 1 0 1
33.63, 100, 1 1 0
34.31, 96, 0 1 2
41.65, 43, 0 2 1
48.81, 44, 2 0 2
60.58, 34, 1 2 2

Calculated powder diffraction line list
Compound: SmBe2Ir
Radiation: Cu Kα X-rays
Structure: a structure optimized by DFT (GGA-PBE)
Peak positions follow from Bragg's law for the DFT cell and can differ from measured ones.

Structural model:
Unit cell a=6.5238 b=3.9678 c=10.1114 alpha=90.00 beta=90.00 gamma=90.00
Space group Pnma (No. 62)
Unique sites:
Sm: 0.1696 0.2500 0.1283 [4 per cell]
Be: 0.1635 0.2500 0.8040 [4 per cell]
Be: 0.1800 0.2500 0.4139 [4 per cell]
Ir: 0.0168 0.7500 0.3882 [4 per cell]

Peak list (6 most intense, 10° ≤ 2θ ≤ 80°, by angle)
Position (°2θ), I/Imax, (hkl)
16.17, 35, 1 0 1
27.76, 23, 1 1 1
31.78, 100, 1 1 2
35.51, 32, 0 0 4
36.76, 33, 2 1 1
44.92, 28, 2 1 3

Calculated powder diffraction line list
Compound: Ac3Cu7Si4
Radiation: Cu Kα X-rays
Structure: a structure optimized by DFT (GGA-PBE)
Peak positions follow from Bragg's law for the DFT cell and can differ from measured ones.

Structural model:
Unit cell a=15.6906 b=4.1849 c=10.5186 alpha=90.00 beta=129.84 gamma=90.00
Space group C2/m (No. 12)
Unique sites:
Ac: 0.0000 0.0000 0.0000 [2 per cell]
Ac: 0.1952 0.5000 0.6962 [4 per cell]
Cu: 0.0000 0.0000 0.5000 [2 per cell]
Cu: 0.0020 0.5000 0.7295 [4 per cell]
Cu: 0.1282 0.0000 0.8577 [4 per cell]
Cu: 0.1944 0.5000 0.3937 [4 per cell]
Si: 0.0988 0.0000 0.3918 [4 per cell]
Si: 0.1731 0.5000 0.0080 [4 per cell]

Peak list (6 most intense, 10° ≤ 2θ ≤ 80°, by angle)
Position (°2θ), I/Imax, (hkl)
22.87, 79, 1 1 -1
33.34, 100, 3 1 -3
34.12, 58, 4 0 -4
34.94, 69, 1 1 2
35.80, 69, 5 1 -2
43.27, 69, 0 2 0